No. 1
DyAlH6: simulated XRD peak list (Cu Kα X-rays), based on a structure optimized by DFT (PBE).
Kinematic intensities with the Lorentz-polarization factor, no thermal factor.

Peak list (12 most intense, 10° ≤ 2θ ≤ 90°, sorted by position)
| 2θ/deg | I_rel |
| --- | --- |
| 21.64 | 54 |
| 23.97 | 84 |
| 25.15 | 78 |
| 27.41 | 30 |
| 29.57 | 100 |
| 35.24 | 64 |
| 41.44 | 21 |
| 42.85 | 37 |
| 43.18 | 19 |
| 49.09 | 26 |
| 54.95 | 19 |
| 68.29 | 19 |

Structure:
```
data_DyAlH6
_cell_length_a 4.341
_cell_length_b 4.358
_cell_length_c 7.486
_cell_angle_alpha 90.00
_cell_angle_beta 108.90
_cell_angle_gamma 90.00
_symmetry_space_group_name_H-M 'P 1'
_symmetry_Int_Tables_number 1
_symmetry_space_group_name_Hall 'P 1'
loop_
_atom_site_label
_atom_site_fract_x
_atom_site_fract_y
_atom_site_fract_z
Dy1 0.000 0.000 0.000
Dy2 0.000 0.500 0.500
Al1 0.500 0.000 0.500
Al2 0.500 0.500 0.000
H1 0.189 0.179 0.307
H2 0.189 0.321 0.807
H3 0.215 0.551 0.101
H4 0.215 0.949 0.601
H5 0.424 0.652 0.390
H6 0.424 0.848 0.890
H7 0.576 0.152 0.110
H8 0.576 0.348 0.610
H9 0.785 0.051 0.399
H10 0.785 0.449 0.899
H11 0.811 0.679 0.193
H12 0.811 0.821 0.693
```


No. 2
Th4TlBi: simulated XRD peak list (Cu Kα X-rays), based on a structure optimized by DFT (PBE).
Kinematic intensities with the Lorentz-polarization factor, no thermal factor.

Peak list (12 most intense, 10° ≤ 2θ ≤ 90°, sorted by position)
| 2θ/deg | I_rel |
| --- | --- |
| 29.37 | 100 |
| 32.24 | 41 |
| 32.86 | 10 |
| 36.31 | 30 |
| 36.87 | 48 |
| 49.98 | 24 |
| 50.85 | 10 |
| 55.55 | 22 |
| 58.28 | 24 |
| 66.96 | 15 |
| 69.93 | 15 |
| 80.62 | 9 |

Structure:
```
data_Th4TlBi
_cell_length_a 7.708
_cell_length_b 7.708
_cell_length_c 6.453
_cell_angle_alpha 90.00
_cell_angle_beta 90.00
_cell_angle_gamma 90.00
_symmetry_space_group_name_H-M 'P 1'
_symmetry_Int_Tables_number 1
_symmetry_space_group_name_Hall 'P 1'
loop_
_atom_site_label
_atom_site_fract_x
_atom_site_fract_y
_atom_site_fract_z
Th1 0.150 0.345 0.000
Th2 0.150 0.655 0.500
Th3 0.345 0.150 0.500
Th4 0.345 0.850 0.000
Th5 0.655 0.150 0.000
Th6 0.655 0.850 0.500
Th7 0.850 0.345 0.500
Th8 0.850 0.655 0.000
Tl1 0.000 0.000 0.250
Tl2 0.000 0.000 0.750
Bi1 0.500 0.500 0.250
Bi2 0.500 0.500 0.750
```


No. 3
Mn2TlCu: simulated XRD peak list (Cu Kα X-rays), based on a structure optimized by DFT (PBE).
Kinematic intensities with the Lorentz-polarization factor, no thermal factor.

Peak list (12 most intense, 10° ≤ 2θ ≤ 90°, sorted by position)
| 2θ/deg | I_rel |
| --- | --- |
| 22.06 | 18 |
| 22.28 | 12 |
| 22.54 | 12 |
| 31.90 | 14 |
| 39.13 | 100 |
| 45.00 | 17 |
| 45.47 | 16 |
| 46.02 | 16 |
| 79.06 | 12 |
| 79.73 | 12 |
| 80.53 | 12 |
| 84.10 | 10 |

Structure:
```
data_Mn2TlCu
_cell_length_a 3.945
_cell_length_b 3.990
_cell_length_c 4.029
_cell_angle_alpha 90.00
_cell_angle_beta 90.00
_cell_angle_gamma 90.00
_symmetry_space_group_name_H-M 'P 1'
_symmetry_Int_Tables_number 1
_symmetry_space_group_name_Hall 'P 1'
loop_
_atom_site_label
_atom_site_fract_x
_atom_site_fract_y
_atom_site_fract_z
Mn1 0.000 0.000 0.000
Mn2 0.500 0.500 0.000
Tl1 0.000 0.500 0.500
Cu1 0.500 0.000 0.500
```